Diffraction record for CeAl7Au3. The powder XRD pattern is computed, not measured: it uses the GGA-PBE geometry in the Materials Project and CuKα.
Lines closer than 0.1° are merged.

```
CeAl7Au3
1.0
4.0845 2.3582 7.0642
-4.0845 2.3582 7.0642
0.0000 -4.7164 7.0642
Ce Al Au
2 14 6
Cartesian
0.0000 0.0000 0.0000
0.0000 0.0000 10.5963
-3.2005 -0.9832 11.2386
-0.7488 -3.2633 9.9541
-0.7488 -1.4532 7.7065
0.0000 0.0000 5.2982
-2.4517 2.2801 9.9541
-0.8841 1.3750 7.7065
-1.6329 -0.0781 13.4862
1.6329 0.0781 7.7065
0.8841 -1.3750 13.4862
2.4517 -2.2801 11.2386
0.0000 0.0000 15.8945
0.7488 1.4532 13.4862
0.7488 3.2633 11.2386
3.2004 0.9832 9.9541
-2.7763 -0.0922 8.8303
-1.3083 -2.4505 12.3624
1.4680 -2.3582 8.8303
-1.4680 2.3582 12.3624
1.3083 2.4505 8.8303
2.7763 0.0922 12.3624
```

Principal peaks in the range 2θ from 10° to 80°, low angle first:
2theta, d [Å], I (rel.)
25.19, 3.536, 100
33.54, 2.672, 32
38.16, 2.358, 35
44.40, 2.040, 32
46.28, 1.962, 44
51.72, 1.767, 12
61.48, 1.508, 17
66.08, 1.414, 27


Diffraction record for CeAlAu. The powder XRD pattern is computed, not measured: it uses the GGA-PBE geometry in the Materials Project and CuKα.
Lines closer than 0.1° are merged.

```
CeAlAu
1.0
7.4781 0.0000 0.0000
0.0000 4.5710 0.0000
0.0000 0.0000 7.8079
Ce Al Au
4 4 4
Cartesian
0.0756 1.1427 1.5287
3.6635 3.4282 5.4327
3.8147 1.1427 2.3752
7.4025 3.4282 6.2792
1.3154 1.1427 4.5147
2.4237 3.4282 0.6108
5.0544 1.1427 7.1972
6.1627 3.4282 3.2932
1.5195 3.4282 3.1509
2.2195 1.1427 7.0548
5.2586 3.4282 0.7531
5.9586 1.1427 4.6571
```

Principal peaks in the range 2θ from 10° to 80°, low angle first:
2theta, d [Å], I (rel.)
25.53, 3.489, 66
25.74, 3.461, 40
32.45, 2.759, 45
33.01, 2.714, 100
33.18, 2.700, 28
37.89, 2.375, 24
39.43, 2.285, 38
39.86, 2.262, 48


Diffraction record for CeAl2Au2. The powder XRD pattern is computed, not measured: it uses the GGA-PBE geometry in the Materials Project and CuKα.
Lines closer than 0.1° are merged.

```
CeAl2Au2
1.0
4.4456 0.0000 0.0000
0.0000 4.4456 0.0000
0.0000 0.0000 10.4317
Ce Al Au
2 4 4
Cartesian
1.1114 1.1114 2.5990
3.3342 3.3342 7.8327
1.1114 1.1114 9.0964
1.1114 3.3342 5.2158
3.3342 1.1114 5.2158
3.3342 3.3342 1.3353
1.1114 1.1114 6.5836
1.1114 3.3342 0.0000
3.3342 1.1114 0.0000
3.3342 3.3342 3.8481
```

Principal peaks in the range 2θ from 10° to 80°, low angle first:
2theta, d [Å], I (rel.)
25.62, 3.477, 30
26.34, 3.383, 36
29.68, 3.010, 75
32.70, 2.739, 57
33.28, 2.692, 100
40.59, 2.223, 70
45.17, 2.007, 29
53.06, 1.726, 29


Diffraction record for CeAlAu. The powder XRD pattern is computed, not measured: it uses the GGA-PBE geometry in the Materials Project and CuKα.
Lines closer than 0.1° are merged.

```
CeAlAu
1.0
4.5391 0.0000 0.0000
-2.2695 3.9310 0.0000
0.0000 0.0000 7.5856
Ce Al Au
2 2 2
Cartesian
0.0000 0.0000 0.0000
0.0000 0.0000 3.7928
0.0000 2.6206 1.8964
2.2695 1.3103 5.6892
0.0000 2.6206 5.6892
2.2695 1.3103 1.8964
```

Principal peaks in the range 2θ from 10° to 80°, low angle first:
2theta, d [Å], I (rel.)
25.52, 3.490, 64
32.81, 2.729, 100
39.71, 2.270, 62
42.51, 2.127, 17
47.81, 1.903, 12
52.43, 1.745, 27
63.98, 1.455, 31
67.73, 1.383, 25